[1]
Starting from a cell relaxed with PBE, the PXRD pattern of Cs4AuF2 was computed for Cu Kα (weighted mean of Kα1 and Kα2).
Peak positions follow from Bragg's law for the DFT cell and can differ from measured ones.

Principal peaks in the range 2θ from 10° to 80°, by intensity:
(1 1 1), d = 4.175 Å, 21.28°, I = 1000
(2 0 2), d = 2.617 Å, 34.26°, I = 400
(3 1 1), d = 2.111 Å, 42.84°, I = 360
(1 1 2), d = 3.097 Å, 28.83°, I = 300
(2 2 0), d = 2.447 Å, 36.73°, I = 299
(1 0 1), d = 5.234 Å, 16.94°, I = 228
(2 0 1), d = 3.176 Å, 28.10°, I = 197
(2 0 0), d = 3.462 Å, 25.73°, I = 177
(1 0 0), d = 6.920 Å, 12.79°, I = 169
(3 1 2), d = 1.920 Å, 47.34°, I = 142
(2 0 5), d = 1.452 Å, 64.13°, I = 138
(2 2 3), d = 1.803 Å, 50.63°, I = 128

Structural model:
Unit cell a=6.9199 b=6.9199 c=8.0028 alpha=90.00 beta=90.00 gamma=90.00
Space group P-42m (No. 111)
Symmetry-distinct sites (fractional):
Cs  0.2454  0.2454  0.3074
Au  0.5000  0.5000  0.0000
F  0.0000  0.5000  0.5000


[2]
Starting from a cell relaxed with PBE, the PXRD pattern of Li2UI2N2 was computed for Cu Kα (weighted mean of Kα1 and Kα2).
Peak positions follow from Bragg's law for the DFT cell and can differ from measured ones.

Principal peaks in the range 2θ from 10° to 80°, by intensity:
(1 0 1), d = 4.085 Å, 21.76°, I = 1000
(1 0 7), d = 2.371 Å, 37.94°, I = 413
(1 1 0), d = 2.950 Å, 30.30°, I = 351
(0 0 6), d = 3.363 Å, 26.51°, I = 236
(2 1 1), d = 1.858 Å, 49.04°, I = 236
(1 1 6), d = 2.217 Å, 40.69°, I = 234
(2 1 7), d = 1.566 Å, 58.98°, I = 230
(1 0 5), d = 2.900 Å, 30.83°, I = 172
(2 0 0), d = 2.086 Å, 43.38°, I = 164
(2 0 6), d = 1.772 Å, 51.56°, I = 149
(1 0 13), d = 1.455 Å, 64.01°, I = 83
(3 1 6), d = 1.228 Å, 77.77°, I = 77

Structural model:
Unit cell a=4.1715 b=4.1715 c=20.1762 alpha=90.00 beta=90.00 gamma=90.00
Space group I4/mmm (No. 139)
Symmetry-distinct sites (fractional):
Li  0.0000  0.0000  0.0728
U  0.0000  0.0000  0.5000
I  0.0000  0.0000  0.3500
N  0.0000  0.5000  0.0000


[3]
Starting from a cell relaxed with PBE, the PXRD pattern of Te3Pt2 was computed for Cu Kα (weighted mean of Kα1 and Kα2).
Peak positions follow from Bragg's law for the DFT cell and can differ from measured ones.

Principal peaks in the range 2θ from 10° to 80°, by intensity:
(1 1 3), d = 2.914 Å, 30.68°, I = 1000
(0 2 0), d = 2.030 Å, 44.64°, I = 430
(0 0 3), d = 5.787 Å, 15.31°, I = 276
(1 1 6), d = 2.162 Å, 41.78°, I = 226
(1 1 -7), d = 2.093 Å, 43.23°, I = 226
(2 2 -4), d = 1.666 Å, 55.14°, I = 193
(5 1 -5), d = 1.288 Å, 73.55°, I = 164
(2 0 9), d = 1.599 Å, 57.63°, I = 160
(3 1 2), d = 1.916 Å, 47.46°, I = 98
(2 2 9), d = 1.256 Å, 75.70°, I = 72
(4 0 -8), d = 1.457 Å, 63.88°, I = 71
(4 0 5), d = 1.480 Å, 62.79°, I = 68

Structural model:
Unit cell a=7.0310 b=4.0611 c=17.5167 alpha=90.00 beta=97.62 gamma=90.00
Space group C2/m (No. 12)
Symmetry-distinct sites (fractional):
Te  0.0369  0.0000  0.1120
Te  0.1419  0.0000  0.4238
Te  0.2436  0.0000  0.7345
Pt  0.0505  0.5000  0.6544
Pt  0.1528  0.5000  0.9579


[4]
Starting from a cell relaxed with PBE, the PXRD pattern of SnSb2Au5 was computed for Cu Kα (weighted mean of Kα1 and Kα2).
Peak positions follow from Bragg's law for the DFT cell and can differ from measured ones.

Principal peaks in the range 2θ from 10° to 80°, by intensity:
(1 1 2), d = 2.429 Å, 37.02°, I = 1000
(1 3 0), d = 2.953 Å, 30.27°, I = 710
(1 3 -2), d = 2.394 Å, 37.57°, I = 619
(1 3 -1), d = 2.843 Å, 31.46°, I = 609
(1 1 0), d = 4.005 Å, 22.20°, I = 599
(0 3 3), d = 2.013 Å, 45.04°, I = 554
(1 0 -3), d = 2.192 Å, 41.19°, I = 528
(0 4 2), d = 2.306 Å, 39.07°, I = 508
(1 0 1), d = 3.361 Å, 26.52°, I = 419
(1 2 -1), d = 3.315 Å, 26.90°, I = 402
(1 1 -2), d = 2.861 Å, 31.27°, I = 360
(1 2 0), d = 3.493 Å, 25.50°, I = 359

Structural model:
Unit cell a=4.2978 b=12.3669 c=7.0270 alpha=90.00 beta=99.99 gamma=90.00
Space group P2_1/m (No. 11)
Symmetry-distinct sites (fractional):
Sn  0.1754  0.2500  0.2189
Sb  0.3294  0.0805  0.6884
Au  0.0375  0.7500  0.1885
Au  0.2422  0.5816  0.9631
Au  0.2618  0.6358  0.5667


[5]
Starting from a cell relaxed with PBE, the PXRD pattern of NbSeIO2 was computed for Cu Kα (weighted mean of Kα1 and Kα2).
Peak positions follow from Bragg's law for the DFT cell and can differ from measured ones.

Principal peaks in the range 2θ from 10° to 80°, by intensity:
(0 0 2), d = 3.116 Å, 28.65°, I = 1000
(1 1 0), d = 2.825 Å, 31.67°, I = 965
(1 1 2), d = 2.093 Å, 43.23°, I = 824
(1 0 0), d = 3.995 Å, 22.25°, I = 672
(2 0 2), d = 1.682 Å, 54.57°, I = 610
(2 0 0), d = 1.998 Å, 45.40°, I = 539
(1 1 1), d = 2.573 Å, 34.87°, I = 426
(1 0 2), d = 2.457 Å, 36.57°, I = 365
(0 0 1), d = 6.231 Å, 14.21°, I = 242
(2 2 2), d = 1.286 Å, 73.63°, I = 242
(1 1 4), d = 1.364 Å, 68.82°, I = 212
(2 0 4), d = 1.228 Å, 77.74°, I = 208

Structural model:
Unit cell a=3.9953 b=3.9953 c=6.2311 alpha=90.00 beta=90.00 gamma=90.00
Space group P4/mmm (No. 123)
Symmetry-distinct sites (fractional):
Nb  0.0000  0.0000  0.0000
Se  0.5000  0.5000  0.5000
I  0.0000  0.0000  0.5000
O  0.0000  0.5000  0.0000


[6]
Starting from a cell relaxed with PBE, the PXRD pattern of RbDyIn2I6 was computed for Cu Kα (weighted mean of Kα1 and Kα2).
Peak positions follow from Bragg's law for the DFT cell and can differ from measured ones.

Principal peaks in the range 2θ from 10° to 80°, by intensity:
(2 -1 3), d = 3.763 Å, 23.64°, I = 1000
(2 -1 6), d = 2.861 Å, 31.27°, I = 820
(3 0 0), d = 2.498 Å, 35.95°, I = 504
(1 1 9), d = 2.191 Å, 41.20°, I = 324
(0 1 2), d = 6.269 Å, 14.13°, I = 317
(3 -1 4), d = 2.538 Å, 35.36°, I = 244
(1 0 1), d = 7.121 Å, 12.43°, I = 211
(2 2 6), d = 1.882 Å, 48.38°, I = 200
(1 0 4), d = 4.547 Å, 19.52°, I = 186
(0 2 4), d = 3.134 Å, 28.48°, I = 183
(3 2 4), d = 1.647 Å, 55.83°, I = 148
(0 3 12), d = 1.516 Å, 61.15°, I = 122

Structural model:
Unit cell a=8.6528 b=8.6528 c=22.8810 alpha=90.00 beta=90.00 gamma=120.00
Space group R3 (No. 146, hexagonal axes)
Symmetry-distinct sites (fractional):
Rb  0.0000  0.0000  0.0000
Dy  0.0000  0.0000  0.4900
In  0.0000  0.0000  0.2980
In  0.0000  0.0000  0.8086
I  0.0143  0.7289  0.4064
I  0.0213  0.3042  0.5621


[7]
Starting from a cell relaxed with PBE, the PXRD pattern of Fe4B was computed for Cu Kα (weighted mean of Kα1 and Kα2).
Peak positions follow from Bragg's law for the DFT cell and can differ from measured ones.

Principal peaks in the range 2θ from 10° to 80°, by intensity:
(1 1 1), d = 2.209 Å, 40.85°, I = 1000
(2 0 0), d = 1.913 Å, 47.53°, I = 531
(2 2 0), d = 1.353 Å, 69.49°, I = 305
(1 0 0), d = 3.826 Å, 23.25°, I = 6

Structural model:
Unit cell a=3.8258 b=3.8258 c=3.8258 alpha=90.00 beta=90.00 gamma=90.00
Space group Pm-3m (No. 221)
Symmetry-distinct sites (fractional):
Fe  0.0000  0.0000  0.0000
Fe  0.0000  0.5000  0.5000
B  0.5000  0.5000  0.5000


[8]
Starting from a cell relaxed with PBE, the PXRD pattern of ReCl2F6 was computed for Cu Kα (weighted mean of Kα1 and Kα2).
Peak positions follow from Bragg's law for the DFT cell and can differ from measured ones.

Principal peaks in the range 2θ from 10° to 80°, by intensity:
(0 0 2), d = 7.584 Å, 11.67°, I = 1000
(1 0 1), d = 4.670 Å, 19.00°, I = 848
(0 1 -2), d = 4.364 Å, 20.35°, I = 609
(0 1 2), d = 4.322 Å, 20.55°, I = 583
(1 0 3), d = 3.520 Å, 25.30°, I = 555
(0 0 4), d = 3.792 Å, 23.46°, I = 385
(-1 1 1), d = 3.505 Å, 25.41°, I = 360
(0 1 0), d = 5.298 Å, 16.73°, I = 322
(1 1 -3), d = 2.943 Å, 30.37°, I = 209
(1 1 1), d = 3.490 Å, 25.53°, I = 187
(1 2 -1), d = 2.306 Å, 39.07°, I = 152
(1 0 5), d = 2.581 Å, 34.76°, I = 144

Structural model:
Unit cell a=4.9089 b=5.2982 c=15.1685 alpha=90.60 beta=90.12 gamma=90.24
Space group P1 (No. 1)
Symmetry-distinct sites (fractional):
Re  0.0000  0.0000  0.0000
Re  0.4999  0.0001  0.5000
Cl  0.1645  0.5674  0.2548
Cl  0.3347  0.5692  0.7515
Cl  0.7114  0.4261  0.7503
Cl  0.7867  0.4239  0.2537
F  0.2128  0.7083  0.9997
F  0.2156  0.1335  0.9103
F  0.2305  0.1444  0.0849
F  0.2696  0.1433  0.5845
F  0.2832  0.1306  0.4101
F  0.2876  0.7064  0.5000
F  0.7121  0.2939  0.5001
F  0.7176  0.8697  0.5896
F  0.7289  0.8565  0.4152
F  0.7706  0.8552  0.9149
F  0.7836  0.8664  0.0894
F  0.7873  0.2918  0.0004


[9]
Starting from a cell relaxed with PBE, the PXRD pattern of Tm3Ga5Pd6 was computed for Cu Kα (weighted mean of Kα1 and Kα2).
Peak positions follow from Bragg's law for the DFT cell and can differ from measured ones.

Principal peaks in the range 2θ from 10° to 80°, by intensity:
(1 3 2), d = 2.524 Å, 35.58°, I = 1000
(0 3 3), d = 2.449 Å, 36.70°, I = 665
(2 0 0), d = 2.168 Å, 41.65°, I = 506
(1 2 3), d = 2.292 Å, 39.32°, I = 337
(0 6 0), d = 2.163 Å, 41.77°, I = 307
(1 5 0), d = 2.227 Å, 40.50°, I = 258
(2 3 3), d = 1.623 Å, 56.72°, I = 233
(1 4 1), d = 2.494 Å, 36.01°, I = 219
(3 3 2), d = 1.311 Å, 72.06°, I = 197
(1 1 4), d = 1.957 Å, 46.40°, I = 185
(0 4 2), d = 2.622 Å, 34.19°, I = 162
(2 6 0), d = 1.532 Å, 60.45°, I = 148

Structural model:
Unit cell a=4.3369 b=12.9804 c=8.9047 alpha=90.00 beta=90.00 gamma=90.00
Space group Pmmn (No. 59, origin choice 2)
Symmetry-distinct sites (fractional):
Tm  0.2500  0.0524  0.2458
Tm  0.2500  0.7500  0.2334
Ga  0.2500  0.0940  0.8732
Ga  0.2500  0.6331  0.5291
Ga  0.2500  0.7500  0.7862
Pd  0.2500  0.0611  0.5932
Pd  0.2500  0.2500  0.0511
Pd  0.2500  0.2500  0.4152
Pd  0.2500  0.5970  0.9778


[10]
Starting from a cell relaxed with PBE, the PXRD pattern of CuH2Cl6 was computed for Cu Kα (weighted mean of Kα1 and Kα2).
Peak positions follow from Bragg's law for the DFT cell and can differ from measured ones.

Principal peaks in the range 2θ from 10° to 80°, by intensity:
(1 3 0), d = 3.466 Å, 25.71°, I = 1000
(0 2 1), d = 4.443 Å, 19.98°, I = 584
(1 1 -1), d = 5.865 Å, 15.11°, I = 498
(1 1 1), d = 5.538 Å, 16.00°, I = 371
(2 0 0), d = 6.483 Å, 13.66°, I = 354
(2 2 0), d = 4.147 Å, 21.43°, I = 246
(3 1 0), d = 4.012 Å, 22.16°, I = 243
(1 1 -3), d = 2.532 Å, 35.45°, I = 200
(2 0 2), d = 3.226 Å, 27.65°, I = 182
(4 2 0), d = 2.779 Å, 32.22°, I = 155
(1 1 0), d = 8.294 Å, 10.67°, I = 148
(1 3 -2), d = 2.627 Å, 34.13°, I = 137

Structural model:
Unit cell a=13.0189 b=10.7907 c=7.8634 alpha=90.00 beta=95.15 gamma=90.00
Space group C2/c (No. 15)
Symmetry-distinct sites (fractional):
Cu  0.0000  0.1785  0.2500
H  0.0971  0.3768  0.9306
Cl  0.0236  0.1814  0.9833
Cl  0.1449  0.4733  0.8782
Cl  0.1629  0.1715  0.3133


[11]
Starting from a cell relaxed with PBE, the PXRD pattern of Cs5Tl2Br12 was computed for Cu Kα (weighted mean of Kα1 and Kα2).
Peak positions follow from Bragg's law for the DFT cell and can differ from measured ones.

Principal peaks in the range 2θ from 10° to 80°, by intensity:
(2 1 0), d = 4.661 Å, 19.04°, I = 1000
(1 0 2), d = 4.793 Å, 18.51°, I = 808
(0 2 -1), d = 3.638 Å, 24.47°, I = 749
(0 1 3), d = 3.953 Å, 22.49°, I = 723
(1 2 1), d = 4.946 Å, 17.94°, I = 665
(2 0 -2), d = 3.379 Å, 26.38°, I = 559
(-1 1 2), d = 4.136 Å, 21.49°, I = 498
(3 1 2), d = 2.894 Å, 30.90°, I = 437
(1 1 1), d = 7.648 Å, 11.57°, I = 432
(3 0 1), d = 2.759 Å, 32.46°, I = 431
(1 -2 0), d = 3.282 Å, 27.17°, I = 404
(1 0 1), d = 6.885 Å, 12.86°, I = 373

Structural model:
Unit cell a=9.4953 b=9.9506 c=12.1867 alpha=70.11 beta=80.24 gamma=63.34
Space group P-1 (No. 2)
Symmetry-distinct sites (fractional):
Cs  0.0000  0.0000  0.0000
Cs  0.3152  0.2101  0.3077
Cs  0.3599  0.3030  0.8622
Tl  0.2017  0.7491  0.4120
Br  0.0015  0.0393  0.3163
Br  0.0768  0.5491  0.0574
Br  0.1023  0.5774  0.5907
Br  0.2754  0.6232  0.2379
Br  0.3946  0.9249  0.8925
Br  0.4575  0.7653  0.4535


[12]
Starting from a cell relaxed with PBE, the PXRD pattern of FePd3Pt2 was computed for Cu Kα (weighted mean of Kα1 and Kα2).
Peak positions follow from Bragg's law for the DFT cell and can differ from measured ones.

Principal peaks in the range 2θ from 10° to 80°, by intensity:
(2 0 3), d = 2.267 Å, 39.77°, I = 1000
(2 1 0), d = 2.258 Å, 39.93°, I = 993
(0 1 3), d = 1.961 Å, 46.30°, I = 652
(4 1 3), d = 1.385 Å, 67.66°, I = 401
(4 0 0), d = 1.956 Å, 46.43°, I = 314
(1 0 -1), d = 5.707 Å, 15.53°, I = 168
(2 0 -1), d = 3.542 Å, 25.14°, I = 114
(0 0 6), d = 1.391 Å, 67.34°, I = 104
(0 2 0), d = 1.382 Å, 67.79°, I = 104
(1 0 -2), d = 3.682 Å, 24.17°, I = 83
(3 0 1), d = 2.488 Å, 36.10°, I = 78
(1 1 2), d = 2.211 Å, 40.82°, I = 65

Structural model:
Unit cell a=7.8226 b=2.7648 c=8.3435 alpha=90.00 beta=90.03 gamma=90.00
Space group P2_1/m (No. 11)
Symmetry-distinct sites (fractional):
Fe  0.1263  0.2500  0.2486
Pd  0.1184  0.2500  0.9163
Pd  0.3658  0.7500  0.4153
Pd  0.3738  0.7500  0.7495
Pt  0.1157  0.2500  0.5880
Pt  0.3674  0.7500  0.0886


[13]
Starting from a cell relaxed with PBE, the PXRD pattern of Pm3SiSb was computed for Cu Kα (weighted mean of Kα1 and Kα2).
Peak positions follow from Bragg's law for the DFT cell and can differ from measured ones.

Principal peaks in the range 2θ from 10° to 80°, by intensity:
(3 1 -1), d = 3.085 Å, 28.94°, I = 1000
(1 1 -2), d = 2.935 Å, 30.46°, I = 643
(5 1 0), d = 2.528 Å, 35.52°, I = 505
(4 0 2), d = 2.830 Å, 31.61°, I = 479
(3 1 1), d = 2.980 Å, 29.99°, I = 446
(0 0 3), d = 2.875 Å, 31.11°, I = 401
(0 2 0), d = 2.023 Å, 44.80°, I = 343
(7 1 3), d = 1.591 Å, 57.96°, I = 311
(6 0 0), d = 2.698 Å, 33.20°, I = 303
(1 1 3), d = 2.297 Å, 39.23°, I = 275
(4 2 2), d = 1.645 Å, 55.89°, I = 265
(4 0 -3), d = 2.449 Å, 36.70°, I = 239

Structural model:
Unit cell a=16.2542 b=4.0458 c=8.6619 alpha=90.00 beta=95.05 gamma=90.00
Space group C2/m (No. 12)
Symmetry-distinct sites (fractional):
Pm  0.0481  0.0000  0.1981
Pm  0.0981  0.5000  0.5560
Pm  0.2423  0.0000  0.8033
Si  0.2121  0.0000  0.4354
Sb  0.1088  0.5000  0.9297